Entry 1:
For BaRe2H2O9, the PBE geometry in OQMD gives the calculated XRD peak list in this record (a wavelength of 1.5418 Å).
Intensities are scaled so that the largest is 100.

The 12 most intense peaks (2θ from 10° to 90°), low angle first:
2theta  I (rel.)
11.63  22
11.96  19
23.69  54
23.84  53
24.06  23
25.04  65
25.58  100
26.34  27
27.43  27
27.65  34
43.74  23
45.47  19

Atomic structure:
a = 7.1492 Å, b = 7.3989 Å, c = 15.2938 Å
α = 89.82°, β = 84.24°, γ = 89.50°
Atoms (fractional coordinates):
Ba 0.2159 0.1914 0.1398
Ba 0.2232 0.8182 0.6409
Ba 0.7768 0.1818 0.3591
Ba 0.7841 0.8086 0.8602
Re 0.2365 0.3057 0.5138
Re 0.2372 0.6977 0.0104
Re 0.2814 0.8621 0.3536
Re 0.3006 0.1435 0.8518
Re 0.6994 0.8565 0.1482
Re 0.7186 0.1379 0.6464
Re 0.7628 0.3023 0.9896
Re 0.7635 0.6943 0.4862
H 0.0754 0.4997 0.2865
H 0.0835 0.4928 0.7771
H 0.4143 0.4534 0.2806
H 0.4227 0.5683 0.7912
H 0.5773 0.4317 0.2088
H 0.5857 0.5466 0.7194
H 0.9165 0.5072 0.2229
H 0.9246 0.5003 0.7135
O 0.0030 0.5787 0.7473
O 0.0776 0.3475 0.4361
O 0.0820 0.6300 0.9354
O 0.1199 0.8493 0.0856
O 0.1275 0.1724 0.5995
O 0.1571 0.0298 0.3004
O 0.1785 0.9654 0.8068
O 0.2134 0.8733 0.4660
O 0.2351 0.1596 0.9642
O 0.2488 0.6415 0.3151
O 0.2557 0.3532 0.8036
O 0.3107 0.5069 0.5586
O 0.3202 0.5137 0.0679
O 0.4257 0.8052 0.9501
O 0.4329 0.1947 0.4605
O 0.4557 0.8935 0.1627
O 0.4772 0.0954 0.6619
O 0.4910 0.3587 0.2483
O 0.5090 0.6413 0.7517
O 0.5228 0.9046 0.3381
O 0.5443 0.1065 0.8373
O 0.5671 0.8053 0.5395
O 0.5743 0.1948 0.0499
O 0.6798 0.4863 0.9321
O 0.6893 0.4931 0.4414
O 0.7443 0.6468 0.1964
O 0.7512 0.3585 0.6849
O 0.7649 0.8404 0.0358
O 0.7866 0.1267 0.5340
O 0.8215 0.0346 0.1931
O 0.8429 0.9702 0.6996
O 0.8725 0.8276 0.4005
O 0.8801 0.1507 0.9144
O 0.9180 0.3700 0.0646
O 0.9224 0.6525 0.5639
O 0.9970 0.4213 0.2527



Entry 2:
For Ba2ZnH6O6, the PBE geometry in OQMD gives the calculated XRD peak list in this record (a wavelength of 1.5418 Å).
Intensities are scaled so that the largest is 100.

The 12 most intense peaks (2θ from 10° to 90°), low angle first:
2theta  I (rel.)
16.74  62
20.99  65
23.96  80
25.01  35
28.11  85
30.20  37
31.52  66
32.69  100
35.27  68
35.89  54
40.83  40
42.33  61

Atomic structure:
a = 6.0482 Å, b = 6.8673 Å, c = 9.3709 Å
α = 90.00°, β = 117.32°, γ = 90.00°
Atoms (fractional coordinates):
Ba 0.1380 0.1535 0.2016
Ba 0.1380 0.3465 0.7016
Ba 0.8620 0.6535 0.2984
Ba 0.8620 0.8465 0.7984
Zn 0.5000 0.0000 0.0000
Zn 0.5000 0.5000 0.5000
H 0.2812 0.6773 0.2224
H 0.2812 0.8227 0.7224
H 0.2878 0.6058 0.0571
H 0.2878 0.8942 0.5571
H 0.4833 0.6682 0.9333
H 0.4833 0.8318 0.4333
H 0.5167 0.1682 0.5667
H 0.5167 0.3318 0.0667
H 0.7122 0.1058 0.4429
H 0.7122 0.3942 0.9429
H 0.7188 0.1773 0.2776
H 0.7188 0.3227 0.7776
O 0.2110 0.1246 0.9506
O 0.2110 0.3754 0.4506
O 0.2991 0.5618 0.1641
O 0.2991 0.9382 0.6641
O 0.3017 0.6691 0.8903
O 0.3017 0.8309 0.3903
O 0.6983 0.1691 0.6097
O 0.6983 0.3309 0.1097
O 0.7009 0.0618 0.3359
O 0.7009 0.4382 0.8359
O 0.7890 0.6246 0.5494
O 0.7890 0.8754 0.0494



Entry 3:
For BaH3Pd, the PBE geometry in OQMD gives the calculated XRD peak list in this record (a wavelength of 1.5418 Å).
Intensities are scaled so that the largest is 100.

The 12 most intense peaks (2θ from 10° to 90°), low angle first:
2theta  I (rel.)
30.71  55
31.91  100
43.98  21
47.48  8
55.36  41
57.61  18
63.95  7
66.70  12
72.60  9
73.26  9
78.42  7
89.56  11

Atomic structure:
a = 5.6237 Å, b = 5.6237 Å, c = 5.6237 Å
α = 117.64°, β = 117.64°, γ = 94.15°
Atoms (fractional coordinates):
Ba 0.2500 0.2500 0.0000
Ba 0.7500 0.7500 0.0000
H 0.2130 0.7130 0.9259
H 0.2500 0.7500 0.5000
H 0.2870 0.2130 0.5000
H 0.7130 0.7870 0.5000
H 0.7500 0.2500 0.5000
H 0.7870 0.2870 0.0741
Pd 0.0000 0.5000 0.5000
Pd 0.5000 0.0000 0.5000



Entry 4:
For BaReH7, the PBE geometry in OQMD gives the calculated XRD peak list in this record (a wavelength of 1.5418 Å).
Intensities are scaled so that the largest is 100.

The 12 most intense peaks (2θ from 10° to 90°), low angle first:
2theta  I (rel.)
25.69  100
31.19  30
31.41  27
31.98  55
35.44  21
37.83  18
48.32  18
48.63  15
49.81  17
49.96  15
52.80  13
61.26  12

Atomic structure:
a = 3.4608 Å, b = 9.5128 Å, c = 5.0663 Å
α = 90.00°, β = 90.43°, γ = 90.00°
Atoms (fractional coordinates):
Ba 0.0000 0.0000 0.0000
Ba 0.0000 0.5000 0.0000
Re 0.4561 0.2500 0.4758
Re 0.5439 0.7500 0.5242
H 0.0281 0.1556 0.4813
H 0.0281 0.3444 0.4813
H 0.4375 0.2500 0.1380
H 0.4869 0.5826 0.6356
H 0.4869 0.9174 0.6356
H 0.4994 0.1457 0.7516
H 0.4994 0.3543 0.7516
H 0.5006 0.6457 0.2484
H 0.5006 0.8543 0.2484
H 0.5131 0.0826 0.3644
H 0.5131 0.4174 0.3644
H 0.5625 0.7500 0.8620
H 0.9719 0.6556 0.5187
H 0.9719 0.8444 0.5187



Entry 5:
For Ba2TcH6, the PBE geometry in OQMD gives the calculated XRD peak list in this record (a wavelength of 1.5418 Å).
Intensities are scaled so that the largest is 100.

The 12 most intense peaks (2θ from 10° to 90°), low angle first:
2theta  I (rel.)
19.08  19
22.06  23
31.40  100
37.00  10
38.71  8
45.01  19
50.67  10
55.91  38
65.54  12
70.07  5
74.48  17
83.04  4

Atomic structure:
a = 5.6972 Å, b = 5.6972 Å, c = 5.6972 Å
α = 60.00°, β = 60.00°, γ = 60.00°
Atoms (fractional coordinates):
Ba 0.2500 0.2500 0.2500
Ba 0.7500 0.7500 0.7500
Tc 0.0000 0.0000 0.0000
H 0.2232 0.2232 0.7768
H 0.2232 0.7768 0.2232
H 0.2232 0.7768 0.7768
H 0.7768 0.2232 0.2232
H 0.7768 0.2232 0.7768
H 0.7768 0.7768 0.2232



Entry 6:
For Ba2TmH6, the PBE geometry in OQMD gives the calculated XRD peak list in this record (a wavelength of 1.5418 Å).
Intensities are scaled so that the largest is 100.

The 12 most intense peaks (2θ from 10° to 90°), low angle first:
2theta  I (rel.)
26.65  100
29.33  85
40.04  35
45.31  25
50.41  35
52.02  17
54.90  15
60.85  11
63.46  19
67.61  15
79.02  10
84.12  9

Atomic structure:
a = 6.0896 Å, b = 6.0896 Å, c = 4.3264 Å
α = 90.00°, β = 90.00°, γ = 120.00°
Atoms (fractional coordinates):
Ba 0.3333 0.6667 0.2253
Ba 0.6667 0.3333 0.7747
Tm 0.0000 0.0000 0.5000
H 0.1809 0.3619 0.7263
H 0.1809 0.8191 0.7263
H 0.3619 0.1809 0.2737
H 0.6381 0.8191 0.7263
H 0.8191 0.1809 0.2737
H 0.8191 0.6381 0.2737



Entry 7:
For Ba3HfHg2, the PBE geometry in OQMD gives the calculated XRD peak list in this record (a wavelength of 1.5418 Å).
Intensities are scaled so that the largest is 100.

The 12 most intense peaks (2θ from 10° to 90°), low angle first:
2theta  I (rel.)
12.37  32
25.82  15
29.41  100
32.14  76
33.84  37
34.56  12
38.89  11
45.44  16
46.10  28
55.62  34
58.40  16
76.49  13

Atomic structure:
a = 3.9383 Å, b = 3.9383 Å, c = 14.3147 Å
α = 90.00°, β = 90.00°, γ = 90.00°
Atoms (fractional coordinates):
Ba 0.0000 0.0000 0.0000
Ba 0.0000 0.0000 0.3085
Ba 0.5000 0.5000 0.7380
Hf 0.5000 0.5000 0.4929
Hg 0.0000 0.0000 0.5664
Hg 0.5000 0.5000 0.1482



Entry 8:
For Ba2HfIr, the PBE geometry in OQMD gives the calculated XRD peak list in this record (a wavelength of 1.5418 Å).
Intensities are scaled so that the largest is 100.

The 11 most intense peaks (2θ from 10° to 90°), low angle first:
2theta  I (rel.)
20.27  3
33.40  100
39.38  2
47.95  18
52.57  1
59.70  38
63.73  1
70.16  12
73.89  1
79.96  17
89.47  4

Atomic structure:
a = 7.5884 Å, b = 7.5884 Å, c = 7.5884 Å
α = 90.00°, β = 90.00°, γ = 90.00°
Atoms (fractional coordinates):
Ba 0.0000 0.0000 0.0000
Ba 0.0000 0.5000 0.5000
Ba 0.2500 0.2500 0.2500
Ba 0.2500 0.7500 0.7500
Ba 0.5000 0.0000 0.5000
Ba 0.5000 0.5000 0.0000
Ba 0.7500 0.2500 0.7500
Ba 0.7500 0.7500 0.2500
Hf 0.2500 0.2500 0.7500
Hf 0.2500 0.7500 0.2500
Hf 0.7500 0.2500 0.2500
Hf 0.7500 0.7500 0.7500
Ir 0.0000 0.0000 0.5000
Ir 0.0000 0.5000 0.0000
Ir 0.5000 0.0000 0.0000
Ir 0.5000 0.5000 0.5000



Entry 9:
For Ba2HfNbN4, the PBE geometry in OQMD gives the calculated XRD peak list in this record (a wavelength of 1.5418 Å).
Intensities are scaled so that the largest is 100.

The 12 most intense peaks (2θ from 10° to 90°), low angle first:
2theta  I (rel.)
10.68  10
30.59  100
32.43  8
39.25  6
43.85  18
45.20  9
54.37  30
60.18  7
63.74  6
72.35  12
77.38  7
88.56  10

Atomic structure:
a = 4.1296 Å, b = 4.1296 Å, c = 8.2847 Å
α = 90.00°, β = 90.00°, γ = 90.00°
Atoms (fractional coordinates):
Ba 0.0000 0.0000 0.0000
Ba 0.5000 0.5000 0.3103
Hf 0.0000 0.0000 0.5761
Nb 0.5000 0.5000 0.7396
N 0.0000 0.0000 0.3361
N 0.0000 0.5000 0.6621
N 0.5000 0.0000 0.6621
N 0.5000 0.5000 0.9664